Calculated X-ray powder pattern
Compound: RbSm2Cu3TeSe4
Radiation: Cu Kα, 1.54184 Å
Structure: a GGA-PBE-relaxed structure
No peak broadening, texture or thermal motion is included.

Crystal structure
a b c (Å): 4.235 14.629 17.768
angles (deg): 90.00 90.00 90.00
Space group Cmcm (No. 63)
Asymmetric unit:
Rb 0.000 0.050 0.250 (multiplicity 4)
Sm 0.000 0.189 0.587 (multiplicity 8)
Cu 0.000 0.345 0.250 (multiplicity 4)
Cu 0.000 0.414 0.529 (multiplicity 8)
Te 0.000 0.251 0.750 (multiplicity 4)
Se 0.000 0.163 0.072 (multiplicity 8)
Se 0.000 0.443 0.113 (multiplicity 8)

Peak list (6 most intense, 10 to 90 degrees two-theta, by angle)
2θ/deg	I/Imax	index
27.90	75	1 3 0
28.36	100	1 3 1
29.69	94	1 3 2
30.18	95	0 0 6
34.56	78	1 3 4
42.70	79	2 0 0